Starting from a PBE-relaxed structure, the powder X-ray diffraction pattern of Sr3Zn2Bi3 was simulated for CuKα.
Kinematic intensities with the Lorentz-polarization factor, no thermal factor.

Structural model:
```
data_Sr3Zn2Bi3
_symmetry_space_group_name_H-M 'P 1'
_symmetry_Int_Tables_number 1
_cell_length_a 4.488
_cell_length_b 5.385
_cell_length_c 11.072
_cell_angle_alpha 104.06
_cell_angle_beta 101.27
_cell_angle_gamma 90.00
loop_
_symmetry_equiv_pos_as_xyz
'x,y,z'
loop_
_atom_site_label
_atom_site_fract_x
_atom_site_fract_y
_atom_site_fract_z
_atom_site_occupancy
Sr1 0.000 0.000 0.000 1
Sr2 0.140 0.637 0.274 1
Sr3 0.860 0.363 0.726 1
Zn1 0.254 0.253 0.508 1
Zn2 0.746 0.747 0.492 1
Bi1 0.329 0.831 0.663 1
Bi2 0.500 0.500 0.000 1
Bi3 0.671 0.169 0.337 1
```

Most intense lines, 10° ≤ 2θ ≤ 90°, low angle first:
2θ (°)  d (Å)  Rel. int.  (hkl)
20.8  4.271  55  0 1 1
25.4  3.507  53  0 0 3
27.2  3.278  51  1 1 0
30.9  2.891  98  1 -1 2
31.1  2.876  100  1 1 -3
33.3  2.692  69  0 2 -1
40.2  2.244  41  2 0 -1
42.1  2.144  23  0 1 -5
42.3  2.136  28  0 2 -4
43.1  2.097  18  1 1 3
53.1  1.724  37  2 2 -2
59.9  1.544  19  2 2 -5

***

Starting from a PBE-relaxed structure, the powder X-ray diffraction pattern of NaTeSeO6 was simulated for CuKα.
Kinematic intensities with the Lorentz-polarization factor, no thermal factor.

Structural model:
```
data_NaTeSeO6
_symmetry_space_group_name_H-M 'P 1'
_symmetry_Int_Tables_number 1
_cell_length_a 5.202
_cell_length_b 5.202
_cell_length_c 10.619
_cell_angle_alpha 90.00
_cell_angle_beta 90.00
_cell_angle_gamma 120.00
loop_
_symmetry_equiv_pos_as_xyz
'x,y,z'
loop_
_atom_site_label
_atom_site_fract_x
_atom_site_fract_y
_atom_site_fract_z
_atom_site_occupancy
Na1 0.000 0.000 0.000 1
Na2 0.000 0.000 0.500 1
Te1 0.333 0.667 0.250 1
Te2 0.667 0.333 0.750 1
Se1 0.333 0.667 0.750 1
Se2 0.667 0.333 0.250 1
O1 0.001 0.379 0.646 1
O2 0.001 0.622 0.854 1
O3 0.378 0.379 0.854 1
O4 0.378 0.999 0.646 1
O5 0.379 0.001 0.146 1
O6 0.379 0.378 0.354 1
O7 0.621 0.622 0.646 1
O8 0.621 0.999 0.854 1
O9 0.622 0.001 0.354 1
O10 0.622 0.621 0.146 1
O11 0.999 0.378 0.146 1
O12 0.999 0.621 0.354 1
```

Most intense lines, 10° ≤ 2θ ≤ 90°, low angle first:
2θ (°)  d (Å)  Rel. int.  (hkl)
16.7  5.310  100  0 0 2
19.7  4.505  41  1 0 0
21.4  4.147  11  1 0 1
25.9  3.435  82  1 0 2
34.5  2.601  37  1 1 0
38.5  2.336  56  1 1 2
43.7  2.074  16  2 0 2
49.0  1.858  58  1 1 4
56.8  1.621  17  2 1 2
61.8  1.502  17  3 0 0
63.6  1.463  17  2 -1 6
64.5  1.445  14  3 0 2

***

Starting from a PBE-relaxed structure, the powder X-ray diffraction pattern of U2TlTe4 was simulated for CuKα.
Kinematic intensities with the Lorentz-polarization factor, no thermal factor.

Structural model:
```
data_U2TlTe4
_symmetry_space_group_name_H-M 'P 1'
_symmetry_Int_Tables_number 1
_cell_length_a 7.620
_cell_length_b 4.400
_cell_length_c 8.495
_cell_angle_alpha 90.00
_cell_angle_beta 90.76
_cell_angle_gamma 90.00
loop_
_symmetry_equiv_pos_as_xyz
'x,y,z'
loop_
_atom_site_label
_atom_site_fract_x
_atom_site_fract_y
_atom_site_fract_z
_atom_site_occupancy
U1 0.000 0.000 0.000 1
U2 0.500 0.500 0.000 1
Tl1 0.000 0.000 0.500 1
Te1 0.171 0.500 0.213 1
Te2 0.334 0.000 0.792 1
Te3 0.666 0.000 0.208 1
Te4 0.829 0.500 0.787 1
```

Most intense lines, 10° ≤ 2θ ≤ 90°, low angle first:
2θ (°)  d (Å)  Rel. int.  (hkl)
10.4  8.494  79  0 0 1
23.3  3.810  44  1 1 0
25.5  3.491  35  2 0 -1
25.7  3.467  59  1 1 1
31.3  2.855  52  2 0 -2
31.4  2.845  38  1 1 -2
31.7  2.827  100  1 1 2
39.5  2.280  26  1 1 -3
41.0  2.200  85  3 1 0
42.6  2.123  22  0 0 4
49.0  1.861  30  1 1 -4
52.5  1.743  25  2 2 -2

***

Starting from a PBE-relaxed structure, the powder X-ray diffraction pattern of PmSm4Er5 was simulated for CuKα.
Kinematic intensities with the Lorentz-polarization factor, no thermal factor.

Structural model:
```
data_PmSm4Er5
_symmetry_space_group_name_H-M 'P 1'
_symmetry_Int_Tables_number 1
_cell_length_a 3.530
_cell_length_b 8.748
_cell_length_c 11.125
_cell_angle_alpha 90.18
_cell_angle_beta 90.03
_cell_angle_gamma 101.63
loop_
_symmetry_equiv_pos_as_xyz
'x,y,z'
loop_
_atom_site_label
_atom_site_fract_x
_atom_site_fract_y
_atom_site_fract_z
_atom_site_occupancy
Pm1 0.000 0.000 0.000 1
Sm1 0.153 0.310 0.250 1
Sm2 0.469 0.940 0.252 1
Sm3 0.531 0.060 0.748 1
Sm4 0.847 0.690 0.750 1
Er1 0.000 0.000 0.500 1
Er2 0.326 0.651 0.053 1
Er3 0.327 0.654 0.452 1
Er4 0.673 0.346 0.548 1
Er5 0.674 0.349 0.947 1
```

Most intense lines, 10° ≤ 2θ ≤ 90°, low angle first:
2θ (°)  d (Å)  Rel. int.  (hkl)
26.2  3.403  25  0 1 3
27.0  3.302  29  1 0 1
31.3  2.856  37  0 3 0
31.9  2.808  17  0 2 -3
32.0  2.799  16  0 2 3
32.2  2.781  23  0 0 4
33.9  2.643  100  -1 2 2
34.0  2.640  32  1 1 2
48.7  1.871  19  1 -1 5
51.8  1.765  13  2 -1 0
62.1  1.494  17  1 -4 5
62.3  1.490  16  -2 1 4